1.
This entry pairs a crystal structure of NaCd5Au4 with its computed PXRD pattern. Radiation: copper Kα. Structure: a cell relaxed with GGA-PBE.
Neutral-atom scattering factors, no anomalous dispersion.

The 10 most intense peaks (10 to 90 degrees two-theta), in order of rising 2θ:
- 10.75°, rel. 19
- 35.68°, rel. 100
- 36.62°, rel. 98
- 39.56°, rel. 75
- 46.53°, rel. 25
- 55.86°, rel. 12
- 58.50°, rel. 12
- 62.68°, rel. 38
- 68.67°, rel. 25
- 70.44°, rel. 27

Crystal structure
a = 3.1555 Å, b = 3.9036 Å, c = 16.4575 Å
α = 90.00°, β = 90.00°, γ = 90.00°
Fractional positions:
1 Na 0.0000 0.0000 0.0000
2 Cd 0.5000 0.5000 0.1139
3 Cd 0.5000 0.5000 0.3057
4 Cd 0.5000 0.5000 0.5000
5 Cd 0.5000 0.5000 0.6943
6 Cd 0.5000 0.5000 0.8861
7 Au 0.0000 0.0000 0.2061
8 Au 0.0000 0.0000 0.4025
9 Au 0.0000 0.0000 0.5975
10 Au 0.0000 0.0000 0.7939

2.
This entry pairs a crystal structure of NaCdAu6 with its computed PXRD pattern. Radiation: copper Kα. Structure: a cell relaxed with GGA-PBE.
Neutral-atom scattering factors, no anomalous dispersion.

The 10 most intense peaks (10 to 90 degrees two-theta), in order of rising 2θ:
- 23.42°, rel. 17
- 33.36°, rel. 15
- 37.44°, rel. 100
- 41.16°, rel. 35
- 59.62°, rel. 15
- 62.32°, rel. 23
- 64.96°, rel. 18
- 70.07°, rel. 11
- 79.86°, rel. 5
- 82.25°, rel. 22

Crystal structure
a = 5.3716 Å, b = 5.3716 Å, c = 5.3716 Å
α = 90.00°, β = 90.00°, γ = 90.00°
Fractional positions:
1 Na 0.0000 0.0000 0.0000
2 Cd 0.5000 0.5000 0.5000
3 Au 0.0000 0.2502 0.5000
4 Au 0.0000 0.7498 0.5000
5 Au 0.2502 0.5000 0.0000
6 Au 0.5000 0.0000 0.2502
7 Au 0.5000 0.0000 0.7498
8 Au 0.7498 0.5000 0.0000

3.
This entry pairs a crystal structure of Na2SrCd2Au2 with its computed PXRD pattern. Radiation: copper Kα. Structure: a cell relaxed with GGA-PBE.
Neutral-atom scattering factors, no anomalous dispersion.

The 10 most intense peaks (10 to 90 degrees two-theta), in order of rising 2θ:
- 19.15°, rel. 64
- 21.29°, rel. 30
- 26.51°, rel. 67
- 30.91°, rel. 38
- 33.39°, rel. 38
- 36.88°, rel. 100
- 38.83°, rel. 20
- 41.88°, rel. 53
- 54.65°, rel. 27
- 63.00°, rel. 30

Crystal structure
a = 9.6864 Å, b = 9.6864 Å, c = 9.6864 Å
α = 29.15°, β = 29.15°, γ = 29.15°
Fractional positions:
1 Na 0.1317 0.1317 0.1317
2 Na 0.8683 0.8683 0.8683
3 Sr 0.0000 0.0000 0.0000
4 Cd 0.2565 0.2565 0.2565
5 Cd 0.7435 0.7435 0.7435
6 Au 0.4032 0.4032 0.4032
7 Au 0.5968 0.5968 0.5968

4.
This entry pairs a crystal structure of Nd2CdAu6 with its computed PXRD pattern. Radiation: copper Kα. Structure: a cell relaxed with GGA-PBE.
Neutral-atom scattering factors, no anomalous dispersion.

The 10 most intense peaks (10 to 90 degrees two-theta), in order of rising 2θ:
- 22.48°, rel. 6
- 32.01°, rel. 37
- 35.91°, rel. 100
- 42.75°, rel. 7
- 45.84°, rel. 8
- 45.93°, rel. 13
- 51.73°, rel. 8
- 57.01°, rel. 15
- 66.96°, rel. 11
- 69.28°, rel. 10

Crystal structure
a = 6.4628 Å, b = 6.4628 Å, c = 5.5924 Å
α = 90.07°, β = 90.07°, γ = 59.85°
Fractional positions:
1 Nd 0.1665 0.1665 0.1699
2 Nd 0.8335 0.8335 0.8301
3 Cd 0.5000 0.5000 0.0000
4 Au 0.1279 0.6857 0.3229
5 Au 0.3135 0.3135 0.6782
6 Au 0.3143 0.8721 0.6771
7 Au 0.6857 0.1279 0.3229
8 Au 0.6865 0.6865 0.3218
9 Au 0.8721 0.3143 0.6771

5.
This entry pairs a crystal structure of Nd2Cd3Au3 with its computed PXRD pattern. Radiation: copper Kα. Structure: a cell relaxed with GGA-PBE.
Neutral-atom scattering factors, no anomalous dispersion.

The 10 most intense peaks (10 to 90 degrees two-theta), in order of rising 2θ:
- 35.32°, rel. 100
- 35.50°, rel. 94
- 50.94°, rel. 34
- 63.39°, rel. 18
- 63.51°, rel. 34
- 63.86°, rel. 15
- 74.70°, rel. 11
- 75.14°, rel. 9
- 85.53°, rel. 16
- 85.85°, rel. 13

Crystal structure
a = 8.7454 Å, b = 8.7454 Å, c = 8.7454 Å
α = 33.79°, β = 33.79°, γ = 33.79°
Fractional positions:
1 Nd 0.0000 0.0000 0.0000
2 Nd 0.4896 0.4896 0.4896
3 Cd 0.2426 0.2426 0.2426
4 Cd 0.6177 0.6177 0.6177
5 Cd 0.7467 0.7467 0.7467
6 Au 0.1235 0.1235 0.1235
7 Au 0.3637 0.3637 0.3637
8 Au 0.8739 0.8739 0.8739

6.
This entry pairs a crystal structure of Nd3CdAu2 with its computed PXRD pattern. Radiation: copper Kα. Structure: a cell relaxed with GGA-PBE.
Neutral-atom scattering factors, no anomalous dispersion.

The 10 most intense peaks (10 to 90 degrees two-theta), in order of rising 2θ:
- 15.73°, rel. 1
- 23.65°, rel. 1
- 33.69°, rel. 100
- 37.36°, rel. 1
- 39.97°, rel. 1
- 48.39°, rel. 18
- 60.26°, rel. 37
- 70.85°, rel. 11
- 80.74°, rel. 11
- 80.90°, rel. 5

Crystal structure
a = 3.7643 Å, b = 3.7643 Å, c = 11.2710 Å
α = 90.00°, β = 90.00°, γ = 90.00°
Fractional positions:
1 Nd 0.0000 0.0000 0.0000
2 Nd 0.0000 0.0000 0.3234
3 Nd 0.0000 0.0000 0.6766
4 Cd 0.5000 0.5000 0.5000
5 Au 0.5000 0.5000 0.1665
6 Au 0.5000 0.5000 0.8335

7.
This entry pairs a crystal structure of Nd2Cd5Au with its computed PXRD pattern. Radiation: copper Kα. Structure: a cell relaxed with GGA-PBE.
Neutral-atom scattering factors, no anomalous dispersion.

The 10 most intense peaks (10 to 90 degrees two-theta), in order of rising 2θ:
- 27.50°, rel. 28
- 30.79°, rel. 100
- 31.89°, rel. 79
- 33.11°, rel. 29
- 33.93°, rel. 55
- 35.25°, rel. 23
- 39.53°, rel. 41
- 40.07°, rel. 22
- 41.80°, rel. 69
- 58.90°, rel. 25

Crystal structure
a = 9.4774 Å, b = 9.4774 Å, c = 10.1844 Å
α = 90.00°, β = 90.00°, γ = 153.65°
Fractional positions:
1 Nd 0.0000 0.0000 0.0000
2 Nd 0.0000 0.0000 0.5000
3 Nd 0.1775 0.8225 0.7500
4 Nd 0.8225 0.1775 0.2500
5 Cd 0.2060 0.7940 0.1049
6 Cd 0.2060 0.7940 0.3951
7 Cd 0.3649 0.6351 0.0254
8 Cd 0.3649 0.6351 0.4746
9 Cd 0.3948 0.6052 0.7500
10 Cd 0.6052 0.3948 0.2500
11 Cd 0.6351 0.3649 0.5254
12 Cd 0.6351 0.3649 0.9746
13 Cd 0.7940 0.2060 0.6049
14 Cd 0.7940 0.2060 0.8951
15 Au 0.4548 0.5452 0.2500
16 Au 0.5452 0.4548 0.7500

8.
This entry pairs a crystal structure of NdCd3Au4 with its computed PXRD pattern. Radiation: copper Kα. Structure: a cell relaxed with GGA-PBE.
Neutral-atom scattering factors, no anomalous dispersion.

The 10 most intense peaks (10 to 90 degrees two-theta), in order of rising 2θ:
- 25.50°, rel. 12
- 35.59°, rel. 100
- 37.13°, rel. 100
- 52.38°, rel. 33
- 62.91°, rel. 14
- 65.94°, rel. 33
- 66.93°, rel. 18
- 79.10°, rel. 11
- 87.14°, rel. 11
- 89.87°, rel. 15

Crystal structure
a = 8.8709 Å, b = 8.8709 Å, c = 8.8709 Å
α = 31.68°, β = 31.68°, γ = 31.68°
Fractional positions:
1 Nd 0.0000 0.0000 0.0000
2 Cd 0.2480 0.2480 0.2480
3 Cd 0.5000 0.5000 0.5000
4 Cd 0.7520 0.7520 0.7520
5 Au 0.1262 0.1262 0.1262
6 Au 0.3868 0.3868 0.3868
7 Au 0.6132 0.6132 0.6132
8 Au 0.8738 0.8738 0.8738